No. 1
Starting from a crystal structure in the Materials Project, relaxed with PBE, the powder X-ray diffraction pattern of Nd4MgCo was simulated for Cu Kα (λ = 1.5418 Å).

Top 10 peaks for 10 to 90 degrees two-theta, sorted by position:
(1 1 1), 8.039 Å, 2θ = 11.0°, rel. 171
(3 3 1), 3.194 Å, 2θ = 27.9°, rel. 554
(4 2 2), 2.842 Å, 2θ = 31.5°, rel. 656
(5 1 1), 2.680 Å, 2θ = 33.4°, rel. 1000
(4 4 0), 2.461 Å, 2θ = 36.5°, rel. 295
(7 3 3), 1.701 Å, 2θ = 53.9°, rel. 193
(6 6 0), 1.641 Å, 2θ = 56.0°, rel. 595
(5 5 5), 1.608 Å, 2θ = 57.3°, rel. 144
(11 5 1), 1.148 Å, 2θ = 84.3°, rel. 172
(10 6 4), 1.129 Å, 2θ = 86.1°, rel. 161

Structural model:
Lattice parameters (Å, degrees): 13.9239 13.9239 13.9239 90.00 90.00 90.00
Space group F-43m (No. 216)
Inequivalent atoms, fractional coordinates:
Nd (0.0000, 0.0000, 0.1873) [24 per cell]
Nd (0.0623, 0.2500, 0.2500) [24 per cell]
Nd (0.1558, 0.1558, 0.6558) [16 per cell]
Mg (0.0788, 0.0788, 0.4212) [16 per cell]
Co (0.1404, 0.1404, 0.8596) [16 per cell]

No. 2
Starting from a crystal structure in the Materials Project, relaxed with PBE, the powder X-ray diffraction pattern of Zr5Sb3O was simulated for Cu Kα (λ = 1.5418 Å).

Top 10 peaks for 10 to 90 degrees two-theta, sorted by position:
(0 0 2), 2.909 Å, 2θ = 30.7°, rel. 189
(2 1 0), 2.761 Å, 2θ = 32.4°, rel. 229
(2 1 1), 2.494 Å, 2θ = 36.0°, rel. 1000
(3 0 0), 2.435 Å, 2θ = 36.9°, rel. 327
(1 1 2), 2.395 Å, 2θ = 37.6°, rel. 627
(2 2 1), 1.983 Å, 2θ = 45.8°, rel. 123
(3 1 1), 1.913 Å, 2θ = 47.5°, rel. 146
(2 2 2), 1.707 Å, 2θ = 53.7°, rel. 126
(2 1 3), 1.587 Å, 2θ = 58.1°, rel. 242
(5 0 2), 1.306 Å, 2θ = 72.4°, rel. 199

Structural model:
Lattice parameters (Å, degrees): 8.4357 8.4357 5.8173 90.00 90.00 120.00
Space group P6_3/mcm (No. 193)
Inequivalent atoms, fractional coordinates:
Zr (0.0000, 0.2301, 0.2500) [6 per cell]
Zr (0.3333, 0.6667, 0.0000) [4 per cell]
Sb (0.0000, 0.3992, 0.7500) [6 per cell]
O (0.0000, 0.0000, 0.0000) [2 per cell]

No. 3
Starting from a crystal structure in the Materials Project, relaxed with PBE, the powder X-ray diffraction pattern of SrTiZnP2O8 was simulated for Cu Kα (λ = 1.5418 Å).

Top 10 peaks for 10 to 90 degrees two-theta, sorted by position:
(0 2 0), 3.218 Å, 2θ = 27.7°, rel. 1000
(1 -1 2), 3.106 Å, 2θ = 28.7°, rel. 318
(1 1 -3), 2.960 Å, 2θ = 30.2°, rel. 739
(1 0 2), 2.902 Å, 2θ = 30.8°, rel. 469
(2 0 -1), 2.765 Å, 2θ = 32.4°, rel. 462
(1 -2 2), 2.703 Å, 2θ = 33.1°, rel. 391
(-2 2 1), 2.230 Å, 2θ = 40.4°, rel. 188
(2 2 -1), 1.986 Å, 2θ = 45.7°, rel. 184
(1 3 -3), 1.980 Å, 2θ = 45.8°, rel. 213
(1 2 2), 1.845 Å, 2θ = 49.4°, rel. 184

Structural model:
Lattice parameters (Å, degrees): 5.5707 6.9524 9.5426 108.32 105.14 96.93
Space group P-1 (No. 2)
Inequivalent atoms, fractional coordinates:
Sr (0.2003, 0.2467, 0.4519) [2 per cell]
Ti (0.0667, 0.8110, 0.9439) [2 per cell]
Zn (0.3556, 0.2399, 0.8563) [2 per cell]
P (0.1550, 0.6873, 0.2665) [2 per cell]
P (0.4483, 0.7762, 0.7968) [2 per cell]
O (0.0282, 0.3030, 0.8886) [2 per cell]
O (0.0895, 0.8398, 0.4000) [2 per cell]
O (0.0992, 0.4619, 0.2617) [2 per cell]
O (0.2499, 0.9211, 0.7968) [2 per cell]
O (0.2748, 0.0884, 0.1451) [2 per cell]
O (0.3907, 0.6211, 0.6336) [2 per cell]
O (0.4153, 0.6816, 0.9229) [2 per cell]
O (0.4419, 0.7565, 0.2830) [2 per cell]

No. 4
Starting from a crystal structure in the Materials Project, relaxed with PBE, the powder X-ray diffraction pattern of LaFeSb2 was simulated for Cu Kα (λ = 1.5418 Å).

Top 10 peaks for 10 to 90 degrees two-theta, sorted by position:
(1 0 2), 3.319 Å, 2θ = 26.9°, rel. 214
(1 1 1), 2.963 Å, 2θ = 30.2°, rel. 305
(1 0 3), 2.682 Å, 2θ = 33.4°, rel. 478
(1 1 2), 2.645 Å, 2θ = 33.9°, rel. 1000
(2 0 0), 2.190 Å, 2θ = 41.2°, rel. 541
(1 0 5), 1.846 Å, 2θ = 49.4°, rel. 170
(2 1 3), 1.696 Å, 2θ = 54.1°, rel. 242
(2 2 0), 1.548 Å, 2θ = 59.7°, rel. 177
(1 1 6), 1.487 Å, 2θ = 62.4°, rel. 145
(3 1 2), 1.336 Å, 2θ = 70.5°, rel. 227

Structural model:
Lattice parameters (Å, degrees): 4.3794 4.3794 10.1754 90.00 90.00 90.00
Space group P4/nmm (No. 129, origin choice 2)
Inequivalent atoms, fractional coordinates:
La (0.2500, 0.2500, 0.2432) [2 per cell]
Fe (0.2500, 0.7500, 0.0000) [2 per cell]
Sb (0.2500, 0.2500, 0.8726) [2 per cell]
Sb (0.2500, 0.7500, 0.5000) [2 per cell]

No. 5
Starting from a crystal structure in the Materials Project, relaxed with PBE, the powder X-ray diffraction pattern of Er5Tl3 was simulated for Cu Kα (λ = 1.5418 Å).

Top 10 peaks for 10 to 90 degrees two-theta, sorted by position:
(0 0 2), 3.352 Å, 2θ = 26.6°, rel. 136
(2 1 0), 2.924 Å, 2θ = 30.6°, rel. 153
(1 1 2), 2.680 Å, 2θ = 33.4°, rel. 1000
(3 0 0), 2.578 Å, 2θ = 34.8°, rel. 187
(3 1 1), 2.043 Å, 2θ = 44.3°, rel. 101
(2 1 3), 1.775 Å, 2θ = 51.5°, rel. 177
(0 0 4), 1.676 Å, 2θ = 54.8°, rel. 119
(5 0 0), 1.547 Å, 2θ = 59.8°, rel. 82
(3 3 1), 1.454 Å, 2θ = 64.1°, rel. 92
(5 0 2), 1.405 Å, 2θ = 66.6°, rel. 180

Structural model:
Lattice parameters (Å, degrees): 8.9315 8.9315 6.7041 90.00 90.00 120.00
Space group P6_3/mcm (No. 193)
Inequivalent atoms, fractional coordinates:
Er (0.0000, 0.2369, 0.2500) [6 per cell]
Er (0.3333, 0.6667, 0.0000) [4 per cell]
Tl (0.0000, 0.4009, 0.7500) [6 per cell]

No. 6
Starting from a crystal structure in the Materials Project, relaxed with PBE, the powder X-ray diffraction pattern of CsH4CN3 was simulated for Cu Kα (λ = 1.5418 Å).

Top 10 peaks for 10 to 90 degrees two-theta, sorted by position:
(1 0 1), 5.478 Å, 2θ = 16.2°, rel. 608
(0 1 1), 5.410 Å, 2θ = 16.4°, rel. 269
(2 0 0), 3.694 Å, 2θ = 24.1°, rel. 316
(0 2 0), 3.612 Å, 2θ = 24.6°, rel. 398
(1 1 2), 3.202 Å, 2θ = 27.9°, rel. 1000
(2 1 1), 3.051 Å, 2θ = 29.3°, rel. 386
(1 2 1), 3.015 Å, 2θ = 29.6°, rel. 405
(2 2 0), 2.583 Å, 2θ = 34.7°, rel. 383
(0 1 3), 2.546 Å, 2θ = 35.2°, rel. 247
(2 1 3), 2.097 Å, 2θ = 43.1°, rel. 293

Structural model:
Lattice parameters (Å, degrees): 7.3889 7.2236 8.1633 90.00 90.00 90.00
Space group Pnma (No. 62)
Inequivalent atoms, fractional coordinates:
Cs (0.0055, 0.2500, 0.0957) [4 per cell]
H (0.0529, 0.6298, 0.5437) [8 per cell]
H (0.2210, 0.5992, 0.2632) [8 per cell]
C (0.1328, 0.2500, 0.6188) [4 per cell]
N (0.0139, 0.2500, 0.4872) [4 per cell]
N (0.1864, 0.0814, 0.6706) [8 per cell]